Simulated X-ray diffraction stick pattern
Compound: YEr2Mg3Al2Zn
Radiation: Cu Kα, 1.54184 Å
Structure: a PBE-relaxed structure
Neutral-atom scattering factors, no anomalous dispersion.

Atomic structure:
a b c (Å): 4.4368 7.3494 7.3494
angles (deg): 120.27 90.00 90.00
Positions (direct):
Y 0.0000 0.0000 0.0000
Er 0.0000 0.4206 0.8416
Er 0.0000 0.8416 0.4206
Mg 0.5000 0.1802 0.4216
Mg 0.5000 0.4216 0.1802
Mg 0.5000 0.6628 0.6628
Al 0.5000 0.0882 0.7530
Al 0.5000 0.7530 0.0882
Zn 0.0000 0.4240 0.4240

Most intense lines, 10° ≤ 2θ ≤ 90°, in order of rising 2θ:
13.90°, I = 154
20.01°, I = 478
24.26°, I = 338
28.12°, I = 352
31.64°, I = 793
34.72°, I = 1000
37.38°, I = 240
40.67°, I = 236
42.74°, I = 246
50.15°, I = 200

=====

Simulated X-ray diffraction stick pattern
Compound: HoFeBr
Radiation: Cu Kα, 1.54184 Å
Structure: a PBE-relaxed structure
Neutral-atom scattering factors, no anomalous dispersion.

Atomic structure:
a b c (Å): 11.7771 11.7771 11.7771
angles (deg): 18.77 18.77 18.77
Positions (direct):
Ho 0.0565 0.0565 0.0565
Ho 0.9435 0.9435 0.9435
Fe 0.3355 0.3355 0.3355
Fe 0.6645 0.6645 0.6645
Br 0.2217 0.2217 0.2217
Br 0.7783 0.7783 0.7783

Most intense lines, 10° ≤ 2θ ≤ 90°, in order of rising 2θ:
26.92°, I = 514
32.41°, I = 1000
33.96°, I = 424
37.45°, I = 329
39.36°, I = 465
47.15°, I = 180
47.33°, I = 544
58.53°, I = 180
69.02°, I = 338
78.47°, I = 152

=====

Simulated X-ray diffraction stick pattern
Compound: AgPbClF2
Radiation: Cu Kα, 1.54184 Å
Structure: a PBE-relaxed structure
Neutral-atom scattering factors, no anomalous dispersion.

Atomic structure:
a b c (Å): 6.5204 6.5204 5.5171
angles (deg): 90.00 90.00 129.86
Positions (direct):
Ag 0.1270 0.8730 0.7500
Ag 0.8730 0.1270 0.2500
Pb 0.3844 0.6156 0.7500
Pb 0.6156 0.3844 0.2500
Cl 0.2467 0.7533 0.2500
Cl 0.7533 0.2467 0.7500
F 0.2552 0.2552 0.0000
F 0.2552 0.2552 0.5000
F 0.7448 0.7448 0.0000
F 0.7448 0.7448 0.5000

Most intense lines, 10° ≤ 2θ ≤ 90°, in order of rising 2θ:
24.01°, I = 851
30.27°, I = 206
32.29°, I = 1000
32.43°, I = 616
44.89°, I = 489
44.97°, I = 253
46.52°, I = 346
53.02°, I = 212
56.51°, I = 156
57.76°, I = 370

=====

Simulated X-ray diffraction stick pattern
Compound: TmCuSi
Radiation: Cu Kα, 1.54184 Å
Structure: a PBE-relaxed structure
Neutral-atom scattering factors, no anomalous dispersion.

Atomic structure:
a b c (Å): 4.1096 4.1096 7.3262
angles (deg): 90.00 90.00 120.00
Positions (direct):
Tm 0.0000 0.0000 0.0000
Tm 0.0000 0.0000 0.5000
Cu 0.3333 0.6667 0.2500
Cu 0.6667 0.3333 0.7500
Si 0.3333 0.6667 0.7500
Si 0.6667 0.3333 0.2500

Most intense lines, 10° ≤ 2θ ≤ 90°, in order of rising 2θ:
25.02°, I = 353
35.16°, I = 1000
44.07°, I = 397
49.78°, I = 92
56.51°, I = 80
57.58°, I = 239
68.65°, I = 207
75.25°, I = 216
81.06°, I = 65
83.75°, I = 82

=====

Simulated X-ray diffraction stick pattern
Compound: KRb3Nb2O5
Radiation: Cu Kα, 1.54184 Å
Structure: a PBE-relaxed structure
Neutral-atom scattering factors, no anomalous dispersion.

Atomic structure:
a b c (Å): 6.1373 6.1373 7.8129
angles (deg): 97.81 97.81 67.10
Positions (direct):
K 0.0000 0.0000 0.0000
Rb 0.3096 0.3096 0.3845
Rb 0.3279 0.3279 0.8946
Rb 0.6424 0.6424 0.7117
Nb 0.7230 0.7230 0.1880
Nb 0.9468 0.9468 0.5507
O 0.1518 0.7025 0.6765
O 0.4465 0.9018 0.0663
O 0.7025 0.1518 0.6765
O 0.9018 0.4465 0.0663
O 0.9088 0.9088 0.2989

Most intense lines, 10° ≤ 2θ ≤ 90°, in order of rising 2θ:
19.39°, I = 315
26.28°, I = 593
26.72°, I = 366
29.25°, I = 1000
29.64°, I = 701
30.22°, I = 219
37.82°, I = 427
48.25°, I = 238
48.52°, I = 331
53.84°, I = 191

=====

Simulated X-ray diffraction stick pattern
Compound: ErSbN2O
Radiation: Cu Kα, 1.54184 Å
Structure: a PBE-relaxed structure
Neutral-atom scattering factors, no anomalous dispersion.

Atomic structure:
a b c (Å): 7.8305 7.9847 8.0028
angles (deg): 89.68 89.91 87.91
Positions (direct):
Er 0.0000 0.0000 0.0000
Er 0.0133 0.4914 0.0209
Er 0.0573 0.5569 0.4973
Er 0.0709 0.0485 0.5173
Er 0.4923 0.5070 0.0155
Er 0.5163 0.9726 0.0003
Er 0.5537 0.0760 0.5177
Er 0.5784 0.5411 0.5018
Sb 0.2838 0.2824 0.7711
Sb 0.2866 0.7601 0.7506
Sb 0.2896 0.2581 0.2490
Sb 0.2927 0.7824 0.2763
Sb 0.7781 0.2655 0.2415
Sb 0.7812 0.7900 0.2687
Sb 0.7841 0.2885 0.7672
Sb 0.7865 0.7663 0.7465
N 0.0341 0.8189 0.3264
N 0.0351 0.8405 0.7128
N 0.0355 0.2080 0.8046
N 0.0366 0.2286 0.1922
N 0.2300 0.5266 0.8352
N 0.3209 0.6783 0.5115
N 0.3342 0.0227 0.3420
N 0.3735 0.2290 0.0078
N 0.5318 0.3229 0.6898
N 0.5324 0.3291 0.3204
N 0.5383 0.7188 0.1972
N 0.5387 0.7262 0.8287
N 0.6964 0.8197 0.5099
N 0.7368 0.0255 0.1753
N 0.7499 0.3700 0.0066
N 0.8400 0.5220 0.6822
O 0.2046 0.3076 0.5079
O 0.2308 0.5256 0.2076
O 0.2494 0.8512 0.0158
O 0.3404 0.0216 0.7059
O 0.7303 0.0274 0.8125
O 0.8208 0.1972 0.5021
O 0.8401 0.5226 0.3104
O 0.8663 0.7408 0.0099

Most intense lines, 10° ≤ 2θ ≤ 90°, in order of rising 2θ:
31.43°, I = 405
31.58°, I = 489
31.76°, I = 506
31.99°, I = 1000
32.63°, I = 466
45.33°, I = 239
45.47°, I = 166
46.41°, I = 173
56.38°, I = 138
58.04°, I = 199

=====

Simulated X-ray diffraction stick pattern
Compound: La3Mg3IrPt2
Radiation: Cu Kα, 1.54184 Å
Structure: a PBE-relaxed structure
Neutral-atom scattering factors, no anomalous dispersion.

Atomic structure:
a b c (Å): 7.5442 7.5442 4.2419
angles (deg): 90.00 90.00 120.00
Positions (direct):
La 0.0000 0.5914 0.0000
La 0.4086 0.4086 0.0000
La 0.5914 0.0000 0.0000
Mg 0.0000 0.2346 0.5000
Mg 0.2346 0.0000 0.5000
Mg 0.7654 0.7654 0.5000
Ir 0.0000 0.0000 0.0000
Pt 0.3333 0.6667 0.5000
Pt 0.6667 0.3333 0.5000

Most intense lines, 10° ≤ 2θ ≤ 90°, in order of rising 2θ:
23.59°, I = 598
25.03°, I = 349
31.74°, I = 658
34.66°, I = 1000
41.46°, I = 415
42.35°, I = 421
42.63°, I = 247
49.29°, I = 172
60.98°, I = 268
66.12°, I = 273

=====

Simulated X-ray diffraction stick pattern
Compound: Zn2GaS3
Radiation: Cu Kα, 1.54184 Å
Structure: a PBE-relaxed structure
Neutral-atom scattering factors, no anomalous dispersion.

Atomic structure:
a b c (Å): 6.6681 6.6681 7.0766
angles (deg): 100.38 100.38 120.56
Positions (direct):
Zn 0.0730 0.9270 0.5000
Zn 0.2434 0.7352 0.9900
Zn 0.7352 0.2434 0.4900
Zn 0.9270 0.0730 0.0000
Ga 0.4093 0.6189 0.5325
Ga 0.6189 0.4093 0.0325
S 0.0279 0.2081 0.3629
S 0.2081 0.0279 0.8629
S 0.3407 0.8755 0.3470
S 0.5473 0.6853 0.9034
S 0.6853 0.5473 0.4034
S 0.8755 0.3407 0.8470

Most intense lines, 10° ≤ 2θ ≤ 90°, in order of rising 2θ:
27.05°, I = 496
28.01°, I = 1000
28.99°, I = 545
32.83°, I = 157
45.04°, I = 408
47.11°, I = 349
47.56°, I = 382
54.29°, I = 141
54.62°, I = 146
55.14°, I = 118

=====

Simulated X-ray diffraction stick pattern
Compound: CsHo4Te2C
Radiation: Cu Kα, 1.54184 Å
Structure: a PBE-relaxed structure
Neutral-atom scattering factors, no anomalous dispersion.

Atomic structure:
a b c (Å): 3.8661 3.8661 18.6950
angles (deg): 90.00 90.00 120.00
Positions (direct):
Cs 0.0000 0.0000 0.0000
Ho 0.3333 0.6667 0.5684
Ho 0.3333 0.6667 0.7989
Ho 0.6667 0.3333 0.2011
Ho 0.6667 0.3333 0.4316
Te 0.3333 0.6667 0.3128
Te 0.6667 0.3333 0.6872
C 0.0000 0.0000 0.5000

Most intense lines, 10° ≤ 2θ ≤ 90°, in order of rising 2θ:
26.62°, I = 139
27.06°, I = 297
28.31°, I = 191
30.30°, I = 137
32.91°, I = 1000
36.01°, I = 145
47.01°, I = 338
47.44°, I = 186
58.57°, I = 192
78.27°, I = 165

=====

Simulated X-ray diffraction stick pattern
Compound: TmSi3Ni4
Radiation: Cu Kα, 1.54184 Å
Structure: a PBE-relaxed structure
Neutral-atom scattering factors, no anomalous dispersion.

Atomic structure:
a b c (Å): 4.9614 3.8729 5.6784
angles (deg): 90.00 96.91 90.00
Positions (direct):
Tm 0.0000 0.0000 0.0000
Si 0.1506 0.0000 0.4856
Si 0.4849 0.5000 0.0933
Si 0.6868 0.5000 0.6582
Ni 0.1916 0.5000 0.7256
Ni 0.4959 0.0000 0.7983
Ni 0.5810 0.0000 0.3359
Ni 0.9174 0.5000 0.3373

Most intense lines, 10° ≤ 2θ ≤ 90°, in order of rising 2θ:
25.41°, I = 627
27.95°, I = 599
32.36°, I = 1000
34.72°, I = 441
39.54°, I = 501
42.03°, I = 843
43.55°, I = 533
44.93°, I = 684
45.45°, I = 960
46.92°, I = 731

=====

Simulated X-ray diffraction stick pattern
Compound: Y2ErFe2Co7
Radiation: Cu Kα, 1.54184 Å
Structure: a PBE-relaxed structure
Neutral-atom scattering factors, no anomalous dispersion.

Atomic structure:
a b c (Å): 8.4227 8.4227 8.4227
angles (deg): 34.80 34.80 34.80
Positions (direct):
Y 0.1406 0.1406 0.1406
Y 0.8594 0.8594 0.8594
Er 0.0000 0.0000 0.0000
Fe 0.3336 0.3336 0.3336
Fe 0.6664 0.6664 0.6664
Co 0.0810 0.5815 0.5815
Co 0.4185 0.4185 0.9190
Co 0.4185 0.9190 0.4185
Co 0.5000 0.5000 0.5000
Co 0.5815 0.0810 0.5815
Co 0.5815 0.5815 0.0810
Co 0.9190 0.4185 0.4185

Most intense lines, 10° ≤ 2θ ≤ 90°, in order of rising 2θ:
33.49°, I = 341
35.64°, I = 414
36.65°, I = 325
41.58°, I = 387
42.12°, I = 171
42.56°, I = 1000
45.92°, I = 169
68.79°, I = 224
70.34°, I = 190
75.49°, I = 207